[1]
The following is a computed X-ray powder pattern of Tb7Y2Pu. It was derived from the PBE geometry in Alexandria, using Cu Kα (λ = 1.5418 Å).
Lines closer than 0.1° are merged.

Crystal structure
```
data_Tb7Y2Pu
_space_group_name_H-M_alt 'C 1 2/m 1'
_space_group_IT_number 12
_cell_length_a 6.1680
_cell_length_b 29.5425
_cell_length_c 3.4753
_cell_angle_alpha 90.00
_cell_angle_beta 90.40
_cell_angle_gamma 90.00
loop_
_space_group_symop_operation_xyz
'x,y,z'
'-x,-y,-z'
'-x,y,-z'
'x,-y,z'
'x+1/2,y+1/2,z'
'-x+1/2,-y+1/2,-z'
'-x+1/2,y+1/2,-z'
'x+1/2,-y+1/2,z'
loop_
_atom_site_label
_atom_site_type_symbol
_atom_site_fract_x
_atom_site_fract_y
_atom_site_fract_z
_atom_site_occupancy
Tb1 Tb 0.0000 0.0000 0.0000 1
Tb2 Tb 0.0000 0.1908 0.5000 1
Tb3 Tb 0.2436 0.4014 0.7601 1
Y1 Y 0.0000 0.2933 0.0000 1
Pu1 Pu 0.0000 0.5000 0.5000 1
```

Most intense lines, 2θ = 10–90°, in order of rising 2θ:
- 2θ 29.57, I 59.0, (1 1 -1)
- 2θ 30.25, I 100.0, (0 10 0)
- 2θ 30.99, I 86.9, (1 3 1)
- 2θ 31.44, I 92.8, (2 4 0)
- 2θ 34.31, I 86.1, (2 6 0)
- 2θ 36.60, I 52.4, (1 7 1)

=====

[2]
The following is a computed X-ray powder pattern of TbPuZn17. It was derived from the PBE geometry in Alexandria, using Cu Kα (λ = 1.5418 Å).
Lines closer than 0.1° are merged.

Crystal structure
```
data_TbPuZn17
_space_group_name_H-M_alt 'R 3 m'
_space_group_IT_number 160
_space_group_name_Hall 'R 3 -2"'
_cell_length_a 8.9874
_cell_length_b 8.9874
_cell_length_c 13.2104
_cell_angle_alpha 90.00
_cell_angle_beta 90.00
_cell_angle_gamma 120.00
loop_
_atom_site_label
_atom_site_type_symbol
_atom_site_fract_x
_atom_site_fract_y
_atom_site_fract_z
_atom_site_occupancy
Tb1 Tb 0.0000 0.0000 0.0000 1
Pu1 Pu 0.0000 0.0000 0.6699 1
Zn1 Zn 0.0000 0.0000 0.2351 1
Zn2 Zn 0.0000 0.0000 0.4345 1
Zn3 Zn 0.9998 0.2964 0.3349 1
Zn4 Zn 0.0110 0.5055 0.4861 1
Zn5 Zn 0.1670 0.3340 0.1684 1
Zn6 Zn 0.1710 0.3420 0.5165 1
```

Most intense lines, 2θ = 10–90°, in order of rising 2θ:
- 2θ 28.38, I 37.4, (1 1 3)
- 2θ 34.57, I 41.9, (3 0 0)
- 2θ 35.66, I 24.8, (0 2 4)
- 2θ 40.13, I 58.8, (2 2 0)
- 2θ 40.35, I 100.0, (0 3 3)
- 2θ 41.02, I 45.5, (0 0 6)